Diffraction record for KU2Ag2S7. The XRD peak list is theoretical, not measured: it uses the PBE geometry in Alexandria and Cu Kα X-rays.
Neutral-atom scattering factors, no anomalous dispersion.

Structural model:
abc: 5.1509 5.2241 22.4191
angles: 90.00 90.00 90.00
Space group Immm (No. 71)
Symmetry-distinct sites (fractional):
K1 0.0000 0.0000 0.0000 (multiplicity 2)
U1 0.0000 0.0000 0.3840 (multiplicity 4)
Ag1 0.0000 0.5000 0.2796 (multiplicity 4)
S1 0.0000 0.0000 0.2700 (multiplicity 4)
S2 0.0000 0.0000 0.5000 (multiplicity 2)
S3 0.0000 0.5000 0.1112 (multiplicity 4)
S4 0.0000 0.5000 0.3934 (multiplicity 4)

Most intense lines, 2θ from 10° to 80°, most intense first:
- 2θ 17.67, intensity 100
- 2θ 26.19, intensity 80
- 2θ 20.95, intensity 78
- 2θ 34.33, intensity 62
- 2θ 17.43, intensity 61
- 2θ 34.84, intensity 59